For LiVO3, a DFT-relaxed cell (GGA+U, the Materials Project) gives the simulated powder diffractogram in this record (Cu Kα X-rays).

a = 12.870 Å, b = 2.890 Å, c = 6.068 Å
α = 90.00°, β = 104.03°, γ = 90.00°
Space group C2/m (No. 12)
Unique sites:
Li  0.000  0.000  0.000 [2 per cell]
Li  0.000  0.000  0.500 [2 per cell]
V  0.164  0.500  0.309 [4 per cell]
O  0.025  0.500  0.264 [4 per cell]
O  0.172  0.000  0.124 [4 per cell]
O  0.176  0.000  0.544 [4 per cell]

Peak list (12 most intense, 2θ = 15–90°, most intense first)
(2 0 -1), 18.0 deg, d 4.920, intensity 100; (1 1 -2), 43.2 deg, d 2.093, intensity 43; (2 0 1), 23.1 deg, d 3.843, intensity 25; (0 0 1), 15.0 deg, d 5.887, intensity 22; (6 0 0), 43.5 deg, d 2.081, intensity 20; (1 1 1), 36.1 deg, d 2.488, intensity 16; (7 1 -2), 62.8 deg, d 1.479, intensity 10; (5 1 2), 63.2 deg, d 1.472, intensity 9; (3 1 -3), 56.6 deg, d 1.627, intensity 9; (0 0 2), 30.4 deg, d 2.945, intensity 8; (4 0 1), 35.7 deg, d 2.517, intensity 8; (1 1 -1), 34.6 deg, d 2.596, intensity 7